Entry 1:
For Nb4Te17I4, a DFT-relaxed cell (GGA-PBE, Alexandria) gives the calculated X-ray powder pattern in this record (a wavelength of 1.5418 Å).
No peak broadening, texture or thermal motion is included.

Cell and atoms:
```
data_Nb4Te17I4
_space_group_name_H-M_alt 'C 1 2/c 1'
_space_group_IT_number 15
_space_group_name_Hall '-C 2yc'
_cell_length_a 16.2464
_cell_length_b 8.9295
_cell_length_c 26.8638
_cell_angle_alpha 90.00
_cell_angle_beta 103.59
_cell_angle_gamma 90.00
loop_
_atom_site_label
_atom_site_type_symbol
_atom_site_fract_x
_atom_site_fract_y
_atom_site_fract_z
Nb1 Nb 0.0761 0.2128 0.3287
Nb2 Nb 0.1888 0.2220 0.4433
Te1 Te 0.0000 0.0187 0.7500
Te2 Te 0.0281 0.3882 0.4021
Te3 Te 0.0514 0.0082 0.4075
Te4 Te 0.0815 0.4609 0.8230
Te5 Te 0.0995 0.2256 0.2247
Te6 Te 0.1299 0.3047 0.5319
Te7 Te 0.1939 0.0153 0.8672
Te8 Te 0.2304 0.3706 0.3557
Te9 Te 0.2305 0.4902 0.9907
I1 I 0.1177 0.1552 0.0534
I2 I 0.1507 0.4466 0.7063
```

Peak list (10 most intense, 2θ from 10° to 90°, low angle first)
(1 1 -1), d 7.697, rel. 100; (2 0 -2), d 7.592, rel. 54; (2 0 6), d 3.481, rel. 42; (4 0 4), d 3.078, rel. 16; (4 2 -3), d 2.960, rel. 25; (4 0 -8), d 2.865, rel. 35; (5 1 2), d 2.776, rel. 14; (2 0 -10), d 2.673, rel. 19; (5 3 -4), d 2.163, rel. 16; (2 4 -2), d 2.141, rel. 15

Entry 2:
For TiNbI3, a DFT-relaxed cell (GGA-PBE, Alexandria) gives the calculated X-ray powder pattern in this record (a wavelength of 1.5418 Å).
No peak broadening, texture or thermal motion is included.

Cell and atoms:
```
data_TiNbI3
_space_group_name_H-M_alt 'P m -3 m'
_space_group_IT_number 221
_space_group_name_Hall '-P 4 2 3'
_cell_length_a 5.7116
_cell_length_b 5.7116
_cell_length_c 5.7116
_cell_angle_alpha 90.00
_cell_angle_beta 90.00
_cell_angle_gamma 90.00
loop_
_atom_site_label
_atom_site_type_symbol
_atom_site_fract_x
_atom_site_fract_y
_atom_site_fract_z
Ti1 Ti 0.0000 0.0000 0.0000
Nb1 Nb 0.5000 0.5000 0.5000
I1 I 0.0000 0.5000 0.5000
```

Peak list (10 most intense, 2θ from 10° to 90°, low angle first)
(1 0 0), d 5.712, rel. 61; (1 1 1), d 3.298, rel. 78; (2 0 0), d 2.856, rel. 100; (2 1 0), d 2.554, rel. 33; (2 2 0), d 2.019, rel. 72; (3 0 0), d 1.904, rel. 17; (3 1 1), d 1.722, rel. 34; (2 2 2), d 1.649, rel. 25; (4 2 0), d 1.277, rel. 32; (4 2 2), d 1.166, rel. 24

Entry 3:
For Nb3Tl2I9, a DFT-relaxed cell (GGA-PBE, Alexandria) gives the calculated X-ray powder pattern in this record (a wavelength of 1.5418 Å).
No peak broadening, texture or thermal motion is included.

Cell and atoms:
```
data_Nb3Tl2I9
_space_group_name_H-M_alt 'C 1 2/m 1'
_space_group_IT_number 12
_space_group_name_Hall '-C 2y'
_cell_length_a 11.6718
_cell_length_b 18.6622
_cell_length_c 10.9689
_cell_angle_alpha 90.00
_cell_angle_beta 115.17
_cell_angle_gamma 90.00
loop_
_atom_site_label
_atom_site_type_symbol
_atom_site_fract_x
_atom_site_fract_y
_atom_site_fract_z
Nb1 Nb 0.1107 0.0000 0.3863
Nb2 Nb 0.1195 0.0806 0.6292
Tl1 Tl 0.1055 0.3392 0.8384
I1 I 0.0000 0.2088 0.5000
I2 I 0.0129 0.1035 0.8124
I3 I 0.1893 0.5000 0.1676
I4 I 0.1984 0.2973 0.1727
I5 I 0.2045 0.3951 0.4803
I6 I 0.2239 0.5000 0.7838
```

Peak list (10 most intense, 2θ from 10° to 90°, low angle first)
(1 1 -1), d 8.491, rel. 39; (3 1 0), d 3.460, rel. 43; (2 4 -2), d 3.335, rel. 95; (0 0 3), d 3.309, rel. 100; (3 3 -2), d 3.184, rel. 52; (3 1 -3), d 3.134, rel. 44; (2 4 1), d 3.041, rel. 86; (1 5 2), d 2.697, rel. 76; (4 0 -4), d 2.384, rel. 48; (2 4 -5), d 1.983, rel. 47

Entry 4:
For Nd4I, a DFT-relaxed cell (GGA-PBE, Alexandria) gives the calculated X-ray powder pattern in this record (a wavelength of 1.5418 Å).
No peak broadening, texture or thermal motion is included.

Cell and atoms:
```
data_Nd4I
_space_group_name_H-M_alt 'P m -3 m'
_space_group_IT_number 221
_space_group_name_Hall '-P 4 2 3'
_cell_length_a 5.8769
_cell_length_b 5.8769
_cell_length_c 5.8769
_cell_angle_alpha 90.00
_cell_angle_beta 90.00
_cell_angle_gamma 90.00
loop_
_atom_site_label
_atom_site_type_symbol
_atom_site_fract_x
_atom_site_fract_y
_atom_site_fract_z
Nd1 Nd 0.0000 0.0000 0.0000
Nd2 Nd 0.0000 0.5000 0.5000
I1 I 0.5000 0.5000 0.5000
```

Peak list (10 most intense, 2θ from 10° to 90°, low angle first)
(1 0 0), d 5.877, rel. 18; (1 1 0), d 4.156, rel. 16; (1 1 1), d 3.393, rel. 80; (2 0 0), d 2.938, rel. 100; (2 2 0), d 2.078, rel. 75; (3 1 1), d 1.772, rel. 38; (2 2 2), d 1.697, rel. 26; (3 3 1), d 1.348, rel. 15; (4 2 0), d 1.314, rel. 34; (4 2 2), d 1.200, rel. 25